Zn6InGa12: computed powder XRD pattern (λ = 1.5418 Å (Cu Kα)), based on a GGA-PBE-relaxed structure.
Kinematic intensities with the Lorentz-polarization factor, no thermal factor.

```
Zn6InGa12
1.0
6.0272 3.4798 2.8619
-6.0272 3.4798 2.8619
0.0000 -6.9597 2.8619
Zn In Ga
6 1 12
direct
0.3029 0.3029 0.6956
0.3029 0.6956 0.3029
0.3044 0.6971 0.6971
0.6956 0.3029 0.3029
0.6971 0.3044 0.6971
0.6971 0.6971 0.3044
0.0000 0.0000 0.0000
0.1077 0.3571 0.3571
0.1152 0.5000 0.8848
0.1152 0.8848 0.5000
0.3571 0.1077 0.3571
0.3571 0.3571 0.1077
0.5000 0.1152 0.8848
0.5000 0.8848 0.1152
0.6429 0.6429 0.8923
0.6429 0.8923 0.6429
0.8848 0.1152 0.5000
0.8848 0.5000 0.1152
0.8923 0.6429 0.6429
```

Peak list (10 most intense, 10 to 90 degrees two-theta, by angle)
two_theta, I (rel.)
24.83, 32.7
32.64, 100.0
34.70, 53.4
39.05, 72.1
40.82, 72.5
43.26, 64.9
45.13, 30.9
45.70, 41.1
48.48, 50.2
78.02, 32.1